No. 1
Structure and calculated powder diffractogram of AcZn13 (the PBE geometry in Alexandria; copper Kα).

Cell and atoms:
```
data_AcZn13
_symmetry_space_group_name_H-M 'F m -3 c'
_symmetry_Int_Tables_number 226
_symmetry_space_group_name_Hall '-F 4a 2 3'
_cell_length_a 12.2918
_cell_length_b 12.2918
_cell_length_c 12.2918
_cell_angle_alpha 90.00
_cell_angle_beta 90.00
_cell_angle_gamma 90.00
loop_
_atom_site_label
_atom_site_type_symbol
_atom_site_fract_x
_atom_site_fract_y
_atom_site_fract_z
_atom_site_occupancy
Ac1 Ac 0.2500 0.2500 0.2500 1
Zn1 Zn 0.0000 0.0000 0.0000 1
Zn2 Zn 0.0000 0.1210 0.1788 1
```

Most intense lines, 10° ≤ 2θ ≤ 80°, most intense first:
(hkl), two_theta, I_rel
4 2 2, 35.8, 100
5 3 1, 43.6, 76
4 2 0, 32.6, 62
6 2 0, 46.7, 26
6 4 2, 56.0, 20
6 4 4, 62.3, 20
6 4 0, 53.8, 17
8 6 2, 79.5, 16

No. 2
Structure and calculated powder diffractogram of Ac4Zn (the PBE geometry in Alexandria; copper Kα).

Cell and atoms:
```
data_Ac4Zn
_symmetry_space_group_name_H-M 'I b a m'
_symmetry_Int_Tables_number 72
_symmetry_space_group_name_Hall '-I 2 2c'
_cell_length_a 7.3507
_cell_length_b 16.2953
_cell_length_c 6.5817
_cell_angle_alpha 90.00
_cell_angle_beta 90.00
_cell_angle_gamma 90.00
loop_
_atom_site_label
_atom_site_type_symbol
_atom_site_fract_x
_atom_site_fract_y
_atom_site_fract_z
_atom_site_occupancy
Ac1 Ac 0.1524 0.1796 0.0000 1
Ac2 Ac 0.1679 0.4182 0.0000 1
Zn1 Zn 0.0000 0.0000 0.2500 1
```

Most intense lines, 10° ≤ 2θ ≤ 80°, most intense first:
(hkl), two_theta, I_rel
1 4 1, 28.5, 100
2 1 1, 28.3, 66
1 4 3, 48.7, 39
0 0 2, 27.1, 39
3 5 2, 54.5, 25
1 5 0, 30.0, 19
1 3 2, 34.1, 14
1 8 1, 48.4, 14

No. 3
Structure and calculated powder diffractogram of AcZr3 (the PBE geometry in Alexandria; copper Kα).

Cell and atoms:
```
data_AcZr3
_symmetry_space_group_name_H-M 'P m m 2'
_symmetry_Int_Tables_number 25
_symmetry_space_group_name_Hall 'P 2 -2'
_cell_length_a 3.3325
_cell_length_b 5.4045
_cell_length_c 6.0917
_cell_angle_alpha 90.00
_cell_angle_beta 90.00
_cell_angle_gamma 90.00
loop_
_atom_site_label
_atom_site_type_symbol
_atom_site_fract_x
_atom_site_fract_y
_atom_site_fract_z
_atom_site_occupancy
Ac1 Ac 0.0000 0.0000 0.0000 1
Zr1 Zr 0.0000 0.5000 0.6708 1
Zr2 Zr 0.5000 0.0000 0.4994 1
Zr3 Zr 0.5000 0.5000 0.2417 1
```

Most intense lines, 10° ≤ 2θ ≤ 80°, most intense first:
(hkl), two_theta, I_rel
1 1 1, 34.9, 100
0 1 2, 33.8, 73
0 2 0, 33.2, 44
1 0 1, 30.6, 44
1 2 1, 45.7, 29
0 1 1, 22.0, 27
2 1 2, 66.2, 21
1 3 1, 60.4, 20

No. 4
Structure and calculated powder diffractogram of Al5Ag4 (the PBE geometry in Alexandria; copper Kα).

Cell and atoms:
```
data_Al5Ag4
_symmetry_space_group_name_H-M 'P 63/m c m'
_symmetry_Int_Tables_number 193
_symmetry_space_group_name_Hall '-P 6c 2'
_cell_length_a 7.9276
_cell_length_b 7.9276
_cell_length_c 5.7596
_cell_angle_alpha 90.00
_cell_angle_beta 90.00
_cell_angle_gamma 120.00
loop_
_atom_site_label
_atom_site_type_symbol
_atom_site_fract_x
_atom_site_fract_y
_atom_site_fract_z
_atom_site_occupancy
Al1 Al 0.0000 0.3282 0.2500 1
Al2 Al 0.3333 0.6667 0.0000 1
Ag1 Ag 0.0000 0.0000 0.0000 1
Ag2 Ag 0.0000 0.3396 0.7500 1
```

Most intense lines, 10° ≤ 2θ ≤ 80°, most intense first:
(hkl), two_theta, I_rel
3 0 0, 39.4, 100
1 1 2, 38.6, 87
1 1 1, 27.3, 77
4 1 2, 70.9, 28
2 2 2, 56.4, 28
1 0 0, 12.9, 27
3 0 4, 78.5, 25
3 0 2, 51.0, 17

No. 5
Structure and calculated powder diffractogram of Al5Ag3 (the PBE geometry in Alexandria; copper Kα).

Cell and atoms:
```
data_Al5Ag3
_symmetry_space_group_name_H-M 'I 4 m m'
_symmetry_Int_Tables_number 107
_symmetry_space_group_name_Hall 'I 4 -2'
_cell_length_a 4.0496
_cell_length_b 4.0496
_cell_length_c 16.5386
_cell_angle_alpha 90.00
_cell_angle_beta 90.00
_cell_angle_gamma 90.00
loop_
_atom_site_label
_atom_site_type_symbol
_atom_site_fract_x
_atom_site_fract_y
_atom_site_fract_z
_atom_site_occupancy
Al1 Al 0.0000 0.0000 0.0000 1
Al2 Al 0.0000 0.0000 0.2475 1
Al3 Al 0.0000 0.0000 0.7480 1
Al4 Al 0.0000 0.5000 0.3725 1
Ag1 Ag 0.0000 0.0000 0.4920 1
Ag2 Ag 0.0000 0.5000 0.1253 1
```

Most intense lines, 10° ≤ 2θ ≤ 80°, most intense first:
(hkl), two_theta, I_rel
1 1 4, 38.2, 100
0 0 2, 10.7, 73
2 0 0, 44.8, 32
1 1 2, 33.1, 27
3 1 4, 78.1, 23
2 0 8, 64.4, 20
0 0 8, 43.8, 16
2 2 0, 65.1, 15

No. 6
Structure and calculated powder diffractogram of Al3Ag (the PBE geometry in Alexandria; copper Kα).

Cell and atoms:
```
data_Al3Ag
_symmetry_space_group_name_H-M 'C 1 2/m 1'
_symmetry_Int_Tables_number 12
_symmetry_space_group_name_Hall '-C 2y'
_cell_length_a 5.0022
_cell_length_b 2.8893
_cell_length_c 9.4640
_cell_angle_alpha 90.00
_cell_angle_beta 100.53
_cell_angle_gamma 90.00
loop_
_atom_site_label
_atom_site_type_symbol
_atom_site_fract_x
_atom_site_fract_y
_atom_site_fract_z
_atom_site_occupancy
Al1 Al 0.0000 0.0000 0.0000 1
Al2 Al 0.2491 0.0000 0.7487 1
Ag1 Ag 0.0000 0.5000 0.5000 1
```

Most intense lines, 10° ≤ 2θ ≤ 80°, most intense first:
(hkl), two_theta, I_rel
1 1 1, 38.3, 100
1 1 -3, 44.5, 64
0 0 2, 19.1, 56
2 0 -2, 38.1, 50
0 0 4, 38.7, 48
2 0 -1, 36.0, 35
2 0 0, 36.5, 34
2 0 2, 44.7, 32

No. 7
Structure and calculated powder diffractogram of AlAg3 (the PBE geometry in Alexandria; copper Kα).

Cell and atoms:
```
data_AlAg3
_symmetry_space_group_name_H-M 'I m m a'
_symmetry_Int_Tables_number 74
_symmetry_space_group_name_Hall '-I 2b 2'
_cell_length_a 4.0406
_cell_length_b 4.1973
_cell_length_c 16.2968
_cell_angle_alpha 90.00
_cell_angle_beta 90.00
_cell_angle_gamma 90.00
loop_
_atom_site_label
_atom_site_type_symbol
_atom_site_fract_x
_atom_site_fract_y
_atom_site_fract_z
_atom_site_occupancy
Al1 Al 0.0000 0.2500 0.0654 1
Ag1 Ag 0.0000 0.2500 0.3168 1
Ag2 Ag 0.0000 0.2500 0.5578 1
Ag3 Ag 0.0000 0.2500 0.8145 1
```

Most intense lines, 10° ≤ 2θ ≤ 80°, most intense first:
(hkl), two_theta, I_rel
1 1 4, 38.0, 100
0 2 0, 43.1, 17
2 0 0, 44.9, 16
0 0 8, 44.5, 16
1 3 4, 75.6, 12
3 1 4, 78.1, 11
2 2 0, 64.0, 11
1 1 12, 77.6, 11

No. 8
Structure and calculated powder diffractogram of Al5Ag (the PBE geometry in Alexandria; copper Kα).

Cell and atoms:
```
data_Al5Ag
_symmetry_space_group_name_H-M 'P 4/m m m'
_symmetry_Int_Tables_number 123
_symmetry_space_group_name_Hall '-P 4 2'
_cell_length_a 2.9050
_cell_length_b 2.9050
_cell_length_c 11.8610
_cell_angle_alpha 90.00
_cell_angle_beta 90.00
_cell_angle_gamma 90.00
loop_
_atom_site_label
_atom_site_type_symbol
_atom_site_fract_x
_atom_site_fract_y
_atom_site_fract_z
_atom_site_occupancy
Al1 Al 0.0000 0.0000 0.0000 1
Al2 Al 0.0000 0.0000 0.3323 1
Al3 Al 0.5000 0.5000 0.1632 1
Ag1 Ag 0.5000 0.5000 0.5000 1
```

Most intense lines, 10° ≤ 2θ ≤ 80°, most intense first:
(hkl), two_theta, I_rel
1 0 3, 38.5, 100
1 1 0, 44.1, 33
0 0 2, 14.9, 31
2 1 3, 77.3, 24
1 0 1, 31.7, 20
1 1 6, 65.5, 20
1 0 2, 34.4, 17
0 0 6, 45.9, 15

No. 9
Structure and calculated powder diffractogram of Al2Ag13 (the PBE geometry in Alexandria; copper Kα).

Cell and atoms:
```
data_Al2Ag13
_symmetry_space_group_name_H-M 'R -3 m'
_symmetry_Int_Tables_number 166
_symmetry_space_group_name_Hall '-R 3 2"'
_cell_length_a 7.4516
_cell_length_b 7.4516
_cell_length_c 19.4442
_cell_angle_alpha 90.00
_cell_angle_beta 90.00
_cell_angle_gamma 120.00
loop_
_atom_site_label
_atom_site_type_symbol
_atom_site_fract_x
_atom_site_fract_y
_atom_site_fract_z
_atom_site_occupancy
Al1 Al 0.0000 0.0000 0.1317 1
Ag1 Ag 0.0000 0.0000 0.0000 1
Ag2 Ag 0.0754 0.5377 0.4298 1
Ag3 Ag 0.0838 0.5419 0.2834 1
```

Most intense lines, 10° ≤ 2θ ≤ 80°, most intense first:
(hkl), two_theta, I_rel
2 1 1, 37.1, 100
0 2 7, 43.0, 67
3 0 6, 51.0, 47
1 2 2, 38.0, 41
0 2 1, 28.0, 35
0 1 5, 26.8, 33
0 1 8, 39.6, 31
0 0 6, 27.5, 25

No. 10
Structure and calculated powder diffractogram of AlAg7 (the PBE geometry in Alexandria; copper Kα).

Cell and atoms:
```
data_AlAg7
_symmetry_space_group_name_H-M 'P 4/m m m'
_symmetry_Int_Tables_number 123
_symmetry_space_group_name_Hall '-P 4 2'
_cell_length_a 4.2046
_cell_length_b 4.2046
_cell_length_c 7.9545
_cell_angle_alpha 90.00
_cell_angle_beta 90.00
_cell_angle_gamma 90.00
loop_
_atom_site_label
_atom_site_type_symbol
_atom_site_fract_x
_atom_site_fract_y
_atom_site_fract_z
_atom_site_occupancy
Al1 Al 0.0000 0.0000 0.0000 1
Ag1 Ag 0.0000 0.0000 0.5000 1
Ag2 Ag 0.0000 0.5000 0.2429 1
Ag3 Ag 0.5000 0.5000 0.0000 1
Ag4 Ag 0.5000 0.5000 0.5000 1
```

Most intense lines, 10° ≤ 2θ ≤ 80°, most intense first:
(hkl), two_theta, I_rel
1 1 2, 37.8, 100
2 0 0, 43.0, 34
3 1 2, 75.4, 24
2 0 4, 64.5, 19
0 0 4, 45.6, 14
2 2 0, 62.5, 11
1 1 6, 79.1, 10
1 0 1, 23.9, 4

No. 11
Structure and calculated powder diffractogram of Al5Ag3 (the PBE geometry in Alexandria; copper Kα).

Cell and atoms:
```
data_Al5Ag3
_symmetry_space_group_name_H-M 'P m m 2'
_symmetry_Int_Tables_number 25
_symmetry_space_group_name_Hall 'P 2 -2'
_cell_length_a 3.0642
_cell_length_b 3.9362
_cell_length_c 11.2200
_cell_angle_alpha 90.00
_cell_angle_beta 90.00
_cell_angle_gamma 90.00
loop_
_atom_site_label
_atom_site_type_symbol
_atom_site_fract_x
_atom_site_fract_y
_atom_site_fract_z
_atom_site_occupancy
Al1 Al 0.0000 0.0000 0.0000 1
Al2 Al 0.0000 0.0000 0.2466 1
Al3 Al 0.0000 0.0000 0.4976 1
Al4 Al 0.5000 0.5000 0.1288 1
Al5 Al 0.5000 0.5000 0.6319 1
Ag1 Ag 0.0000 0.0000 0.7429 1
Ag2 Ag 0.5000 0.5000 0.3809 1
Ag3 Ag 0.5000 0.5000 0.8846 1
```

Most intense lines, 10° ≤ 2θ ≤ 80°, most intense first:
(hkl), two_theta, I_rel
1 1 0, 37.2, 100
0 1 4, 39.4, 82
1 0 4, 43.8, 60
0 0 2, 15.8, 54
0 1 2, 27.7, 43
1 2 4, 65.5, 35
0 2 0, 46.1, 26
1 0 2, 33.3, 26

No. 12
Structure and calculated powder diffractogram of AlAg7 (the PBE geometry in Alexandria; copper Kα).

Cell and atoms:
```
data_AlAg7
_symmetry_space_group_name_H-M 'P -1'
_symmetry_Int_Tables_number 2
_symmetry_space_group_name_Hall '-P 1'
_cell_length_a 5.0260
_cell_length_b 5.0684
_cell_length_c 5.8129
_cell_angle_alpha 90.26
_cell_angle_beta 105.78
_cell_angle_gamma 99.02
loop_
_atom_site_label
_atom_site_type_symbol
_atom_site_fract_x
_atom_site_fract_y
_atom_site_fract_z
_atom_site_occupancy
Al1 Al 0.0000 0.0000 0.0000 1
Ag1 Ag 0.0000 0.0000 0.5000 1
Ag2 Ag 0.0019 0.4978 0.7530 1
Ag3 Ag 0.4900 0.2506 0.3705 1
Ag4 Ag 0.4979 0.2431 0.8757 1
```

Most intense lines, 10° ≤ 2θ ≤ 80°, most intense first:
(hkl), two_theta, I_rel
0 1 2, 37.7, 100
1 1 -2, 37.8, 99
1 2 0, 43.5, 33
1 -1 2, 43.7, 32
-2 1 2, 44.4, 31
1 0 -4, 64.1, 29
1 0 4, 76.1, 17
-2 2 4, 77.3, 17

No. 13
Structure and calculated powder diffractogram of AlAg3 (the PBE geometry in Alexandria; copper Kα).

Cell and atoms:
```
data_AlAg3
_symmetry_space_group_name_H-M 'P 4/n m m'
_symmetry_Int_Tables_number 129
_cell_length_a 2.9681
_cell_length_b 2.9681
_cell_length_c 15.6816
_cell_angle_alpha 90.00
_cell_angle_beta 90.00
_cell_angle_gamma 90.00
loop_
_symmetry_equiv_pos_as_xyz
'x,y,z'
'-x,-y,-z'
'-y+1/2,x,z'
'y+1/2,-x,-z'
'-x+1/2,-y+1/2,z'
'x+1/2,y+1/2,-z'
'y,-x+1/2,z'
'-y,x+1/2,-z'
'x+1/2,-y,-z'
'-x+1/2,y,z'
'-y,-x,-z'
'y,x,z'
'-x,y+1/2,-z'
'x,-y+1/2,z'
'y+1/2,x+1/2,-z'
'-y+1/2,-x+1/2,z'
loop_
_atom_site_label
_atom_site_type_symbol
_atom_site_fract_x
_atom_site_fract_y
_atom_site_fract_z
_atom_site_occupancy
Al1 Al 0.2500 0.2500 0.1839 1
Ag1 Ag 0.2500 0.2500 0.4346 1
Ag2 Ag 0.2500 0.2500 0.7001 1
Ag3 Ag 0.2500 0.2500 0.9318 1
```

Most intense lines, 10° ≤ 2θ ≤ 80°, most intense first:
(hkl), two_theta, I_rel
1 0 4, 38.0, 100
1 1 0, 43.1, 36
2 1 4, 75.6, 25
1 1 8, 65.1, 17
0 0 8, 46.3, 12
2 0 0, 62.6, 11
1 0 1, 30.7, 10
1 0 2, 32.2, 8

No. 14
Structure and calculated powder diffractogram of Al3Ag13 (the PBE geometry in Alexandria; copper Kα).

Cell and atoms:
```
data_Al3Ag13
_symmetry_space_group_name_H-M 'A m m 2'
_symmetry_Int_Tables_number 38
_symmetry_space_group_name_Hall 'A 2 -2'
_cell_length_a 8.5823
_cell_length_b 7.9777
_cell_length_c 8.1527
_cell_angle_alpha 90.00
_cell_angle_beta 90.00
_cell_angle_gamma 90.00
loop_
_atom_site_label
_atom_site_type_symbol
_atom_site_fract_x
_atom_site_fract_y
_atom_site_fract_z
_atom_site_occupancy
Al1 Al 0.0000 0.0000 0.0000 1
Al2 Al 0.2583 0.0000 0.2754 1
Ag1 Ag 0.0000 0.0000 0.5236 1
Ag2 Ag 0.0000 0.2289 0.2631 1
Ag3 Ag 0.2457 0.0000 0.7666 1
Ag4 Ag 0.2462 0.2428 0.0191 1
Ag5 Ag 0.5000 0.0000 0.0236 1
Ag6 Ag 0.5000 0.0000 0.5159 1
Ag7 Ag 0.5000 0.2495 0.2694 1
```

Most intense lines, 10° ≤ 2θ ≤ 80°, most intense first:
(hkl), two_theta, I_rel
2 2 2, 37.9, 100
4 0 0, 42.1, 19
0 0 4, 44.4, 16
0 4 0, 45.5, 14
6 2 2, 74.2, 13
2 2 6, 77.5, 11
4 0 4, 62.9, 11
2 6 2, 79.0, 10